Entry 1:
Theoretical powder diffraction line list
Compound: CsHg3O3
Radiation: Cu Ka
Structure: a structure optimized by DFT (PBE)
Peak positions follow from Bragg's law for the DFT cell and can differ from measured ones.

Peak list (10 most intense, 15° ≤ 2θ ≤ 90°, low angle first)
two_theta  d/Å  I/Imax  hkl
17.42  5.092  45  0 2 -1
21.62  4.111  52  1 1 -1
24.10  3.693  100  1 1 -2
27.30  3.266  53  1 -2 1
28.07  3.179  70  1 1 1
28.19  3.166  56  0 3 0
28.52  3.130  65  0 0 3
31.03  2.882  38  1 0 -3
31.61  2.830  39  0 3 -3
40.13  2.247  51  2 0 -1

Atomic structure:
```
data_CsHg3O3
_cell_length_a 4.493
_cell_length_b 10.275
_cell_length_c 10.403
_cell_angle_alpha 111.85
_cell_angle_beta 102.45
_cell_angle_gamma 90.04
_symmetry_space_group_name_H-M 'P -1'
_symmetry_Int_Tables_number 2
loop_
_symmetry_equiv_pos_as_xyz
'x,y,z'
'-x,-y,-z'
loop_
_atom_site_label
_atom_site_fract_x
_atom_site_fract_y
_atom_site_fract_z
_atom_site_occupancy
Cs1 0.067 0.330 0.136 1
Hg1 0.240 0.719 0.478 1
Hg2 0.396 0.297 0.795 1
Hg3 0.409 0.966 0.817 1
O1 0.133 0.673 0.264 1
O2 0.347 0.756 0.690 1
O3 0.474 0.168 0.950 1
```

=====

Entry 2:
Theoretical powder diffraction line list
Compound: Cs8Hg3O
Radiation: Cu Ka
Structure: a structure optimized by DFT (PBE)
Peak positions follow from Bragg's law for the DFT cell and can differ from measured ones.

Peak list (10 most intense, 15° ≤ 2θ ≤ 90°, low angle first)
two_theta  d/Å  I/Imax  hkl
22.18  4.008  53  1 3 1
23.39  3.804  100  2 0 2
25.18  3.537  38  0 4 0
27.40  3.255  26  0 2 3
32.06  2.792  29  1 3 3
32.83  2.728  31  3 3 1
34.07  2.632  15  4 0 0
34.63  2.590  49  2 4 2
46.51  1.953  18  1 7 1
52.81  1.734  16  3 3 5

Atomic structure:
```
data_Cs8Hg3O
_cell_length_a 10.527
_cell_length_b 14.146
_cell_length_c 11.006
_cell_angle_alpha 90.00
_cell_angle_beta 90.00
_cell_angle_gamma 90.00
_symmetry_space_group_name_H-M 'C 2 2 2'
_symmetry_Int_Tables_number 21
loop_
_symmetry_equiv_pos_as_xyz
'x,y,z'
'-x,-y,z'
'x,-y,-z'
'-x,y,-z'
'x+1/2,y+1/2,z'
'-x+1/2,-y+1/2,z'
'x+1/2,-y+1/2,-z'
'-x+1/2,y+1/2,-z'
loop_
_atom_site_label
_atom_site_fract_x
_atom_site_fract_y
_atom_site_fract_z
_atom_site_occupancy
Cs1 0.000 0.208 0.000 1
Cs2 0.000 0.289 0.500 1
Cs3 0.199 0.012 0.809 1
Hg1 0.000 0.000 0.500 1
Hg2 0.250 0.250 0.254 1
O1 0.000 0.000 0.000 1
```

=====

Entry 3:
Theoretical powder diffraction line list
Compound: Cs3HgO
Radiation: Cu Ka
Structure: a structure optimized by DFT (PBE)
Peak positions follow from Bragg's law for the DFT cell and can differ from measured ones.

Peak list (10 most intense, 15° ≤ 2θ ≤ 90°, low angle first)
two_theta  d/Å  I/Imax  hkl
22.07  4.028  48  0 0 2
25.86  3.445  100  2 2 -1
26.62  3.349  30  2 2 0
26.73  3.335  15  4 0 -2
31.60  2.832  19  2 2 1
36.46  2.464  17  4 0 1
36.76  2.445  33  2 2 -3
39.39  2.287  24  2 2 2
45.12  2.009  30  0 4 0
52.74  1.736  14  8 0 -3

Atomic structure:
```
data_Cs3HgO
_cell_length_a 13.921
_cell_length_b 8.038
_cell_length_c 9.256
_cell_angle_alpha 90.00
_cell_angle_beta 119.49
_cell_angle_gamma 90.00
_symmetry_space_group_name_H-M 'C 1 2/m 1'
_symmetry_Int_Tables_number 12
loop_
_symmetry_equiv_pos_as_xyz
'x,y,z'
'-x,-y,-z'
'-x,y,-z'
'x,-y,z'
'x+1/2,y+1/2,z'
'-x+1/2,-y+1/2,-z'
'-x+1/2,y+1/2,-z'
'x+1/2,-y+1/2,z'
loop_
_atom_site_label
_atom_site_fract_x
_atom_site_fract_y
_atom_site_fract_z
_atom_site_occupancy
Cs1 0.075 0.000 0.220 1
Cs2 0.177 0.252 0.780 1
Hg1 0.065 0.500 0.193 1
O1 0.168 0.000 0.002 1
```

=====

Entry 4:
Theoretical powder diffraction line list
Compound: Cs6HgO
Radiation: Cu Ka
Structure: a structure optimized by DFT (PBE)
Peak positions follow from Bragg's law for the DFT cell and can differ from measured ones.

Peak list (10 most intense, 15° ≤ 2θ ≤ 90°, low angle first)
two_theta  d/Å  I/Imax  hkl
20.93  4.245  36  1 3 0
22.47  3.956  68  1 1 -2
23.14  3.843  27  2 2 -1
24.96  3.567  100  2 0 1
29.00  3.079  20  3 1 -1
31.73  2.820  33  2 4 -1
33.51  2.674  26  0 4 2
38.16  2.358  16  1 1 3
46.18  1.966  14  3 3 2
47.12  1.929  14  4 4 0

Atomic structure:
```
data_Cs6HgO
_cell_length_a 9.510
_cell_length_b 14.380
_cell_length_c 8.336
_cell_angle_alpha 90.00
_cell_angle_beta 106.03
_cell_angle_gamma 90.00
_symmetry_space_group_name_H-M 'C 1 2/m 1'
_symmetry_Int_Tables_number 12
loop_
_symmetry_equiv_pos_as_xyz
'x,y,z'
'-x,-y,-z'
'-x,y,-z'
'x,-y,z'
'x+1/2,y+1/2,z'
'-x+1/2,-y+1/2,-z'
'-x+1/2,y+1/2,-z'
'x+1/2,-y+1/2,z'
loop_
_atom_site_label
_atom_site_fract_x
_atom_site_fract_y
_atom_site_fract_z
_atom_site_occupancy
Cs1 0.144 0.146 0.244 1
Cs2 0.248 0.500 0.139 1
Hg1 0.000 0.500 0.500 1
O1 0.000 0.000 0.000 1
```

=====

Entry 5:
Theoretical powder diffraction line list
Compound: Cs2HgOsO4
Radiation: Cu Ka
Structure: a structure optimized by DFT (PBE)
Peak positions follow from Bragg's law for the DFT cell and can differ from measured ones.

Peak list (10 most intense, 15° ≤ 2θ ≤ 90°, low angle first)
two_theta  d/Å  I/Imax  hkl
15.81  5.606  46  0 2 2
16.59  5.344  78  0 0 4
18.40  4.823  38  1 1 3
27.08  3.292  45  0 4 0
27.23  3.275  100  2 2 0
28.48  3.134  76  0 2 6
32.05  2.793  46  2 2 4
34.62  2.591  41  2 0 6
44.52  2.035  66  2 4 6
56.90  1.618  41  2 4 10

Atomic structure:
```
data_Cs2HgOsO4
_cell_length_a 7.551
_cell_length_b 13.169
_cell_length_c 21.377
_cell_angle_alpha 90.00
_cell_angle_beta 90.00
_cell_angle_gamma 90.00
_symmetry_space_group_name_H-M 'F d d d'
_symmetry_Int_Tables_number 70
loop_
_symmetry_equiv_pos_as_xyz
'x,y,z'
'-x,-y,-z'
'-x+1/4,-y+1/4,z'
'x+1/4,y+1/4,-z'
'x,-y+1/4,-z+1/4'
'-x,y+1/4,z+1/4'
'-x+1/4,y,-z+1/4'
'x+1/4,-y,z+1/4'
'x,y+1/2,z+1/2'
'-x,-y+1/2,-z+1/2'
'-x+1/4,-y+3/4,z+1/2'
'x+1/4,y+3/4,-z+1/2'
'x,-y+3/4,-z+3/4'
'-x,y+3/4,z+3/4'
'-x+1/4,y+1/2,-z+3/4'
'x+1/4,-y+1/2,z+3/4'
'x+1/2,y,z+1/2'
'-x+1/2,-y,-z+1/2'
'-x+3/4,-y+1/4,z+1/2'
'x+3/4,y+1/4,-z+1/2'
'x+1/2,-y+1/4,-z+3/4'
'-x+1/2,y+1/4,z+3/4'
'-x+3/4,y,-z+3/4'
'x+3/4,-y,z+3/4'
'x+1/2,y+1/2,z'
'-x+1/2,-y+1/2,-z'
'-x+3/4,-y+3/4,z'
'x+3/4,y+3/4,-z'
'x+1/2,-y+3/4,-z+1/4'
'-x+1/2,y+3/4,z+1/4'
'-x+3/4,y+1/2,-z+1/4'
'x+3/4,-y+1/2,z+1/4'
loop_
_atom_site_label
_atom_site_fract_x
_atom_site_fract_y
_atom_site_fract_z
_atom_site_occupancy
Cs1 0.125 0.125 0.312 1
Hg1 0.125 0.125 0.125 1
Os1 0.125 0.125 0.625 1
O1 0.035 0.283 0.848 1
```

=====

Entry 6:
Theoretical powder diffraction line list
Compound: CsHgPO4
Radiation: Cu Ka
Structure: a structure optimized by DFT (PBE)
Peak positions follow from Bragg's law for the DFT cell and can differ from measured ones.

Peak list (10 most intense, 15° ≤ 2θ ≤ 90°, low angle first)
two_theta  d/Å  I/Imax  hkl
23.67  3.759  81  1 1 -1
25.54  3.488  100  1 1 1
26.63  3.347  44  0 1 2
29.73  3.005  42  1 1 -2
30.12  2.967  53  0 2 0
32.45  2.759  28  2 0 0
32.72  2.737  22  1 1 2
44.71  2.027  29  2 1 2
44.87  2.020  22  2 2 0
45.39  1.998  26  0 2 3

Atomic structure:
```
data_CsHgPO4
_cell_length_a 5.563
_cell_length_b 5.933
_cell_length_c 8.175
_cell_angle_alpha 90.00
_cell_angle_beta 97.31
_cell_angle_gamma 90.00
_symmetry_space_group_name_H-M 'P 1 21/m 1'
_symmetry_Int_Tables_number 11
loop_
_symmetry_equiv_pos_as_xyz
'x,y,z'
'-x,-y,-z'
'-x,y+1/2,-z'
'x,-y+1/2,z'
loop_
_atom_site_label
_atom_site_fract_x
_atom_site_fract_y
_atom_site_fract_z
_atom_site_occupancy
Cs1 0.247 0.250 0.368 1
Hg1 0.301 0.750 0.021 1
P1 0.192 0.250 0.824 1
O1 0.014 0.750 0.318 1
O2 0.096 0.250 0.997 1
O3 0.368 0.040 0.820 1
```

=====

Entry 7:
Theoretical powder diffraction line list
Compound: Cs2PuHgO6
Radiation: Cu Ka
Structure: a structure optimized by DFT (PBE)
Peak positions follow from Bragg's law for the DFT cell and can differ from measured ones.

Peak list (10 most intense, 15° ≤ 2θ ≤ 90°, low angle first)
two_theta  d/Å  I/Imax  hkl
19.85  4.473  11  2 0 0
28.21  3.163  100  2 2 0
40.33  2.236  27  4 0 0
45.34  2.000  5  4 2 0
49.94  1.826  42  4 2 2
58.35  1.581  18  4 4 0
66.05  1.414  20  6 2 0
73.32  1.291  6  4 4 4
80.31  1.195  23  6 4 2
87.17  1.118  3  8 0 0

Atomic structure:
```
data_Cs2PuHgO6
_cell_length_a 8.946
_cell_length_b 8.946
_cell_length_c 8.946
_cell_angle_alpha 90.00
_cell_angle_beta 90.00
_cell_angle_gamma 90.00
_symmetry_space_group_name_H-M 'F m -3 m'
_symmetry_Int_Tables_number 225
_symmetry_space_group_name_Hall '-F 4 2 3'
loop_
_atom_site_label
_atom_site_fract_x
_atom_site_fract_y
_atom_site_fract_z
_atom_site_occupancy
Cs1 0.250 0.250 0.250 1
Pu1 0.000 0.000 0.000 1
Hg1 0.000 0.000 0.500 1
O1 0.000 0.000 0.222 1
```

=====

Entry 8:
Theoretical powder diffraction line list
Compound: Cs7Rb2HgO2
Radiation: Cu Ka
Structure: a structure optimized by DFT (PBE)
Peak positions follow from Bragg's law for the DFT cell and can differ from measured ones.

Peak list (10 most intense, 15° ≤ 2θ ≤ 90°, low angle first)
two_theta  d/Å  I/Imax  hkl
19.32  4.594  39  1 1 0
20.18  4.401  29  1 0 7
22.24  3.997  36  0 1 8
22.48  3.956  47  0 2 1
22.86  3.889  43  2 0 2
24.16  3.683  100  1 1 6
35.62  2.521  24  1 2 8
41.00  2.201  34  2 0 14
44.49  2.036  21  1 3 7
45.55  1.991  24  3 1 8

Atomic structure:
```
data_Cs7Rb2HgO2
_cell_length_a 9.1880
_cell_length_b 9.1880
_cell_length_c 36.9744
_cell_angle_alpha 90.00
_cell_angle_beta 90.00
_cell_angle_gamma 120.00
_symmetry_space_group_name_H-M 'R 3 2'
_symmetry_Int_Tables_number 155
_symmetry_space_group_name_Hall 'R 3 2"'
loop_
_atom_site_label
_atom_site_fract_x
_atom_site_fract_y
_atom_site_fract_z
_atom_site_occupancy
Cs1 0.0000 0.0000 0.0000 1
Cs2 0.0314 0.4422 0.5664 1
Rb1 0.0000 0.0000 0.3525 1
Hg1 0.0000 0.0000 0.5000 1
O1 0.0000 0.0000 0.0798 1
```